[1]
Tb2Pr8In: theoretical powder X-ray diffraction pattern (a wavelength of 1.5418 Å), based on a DFT-relaxed cell (PBE, Alexandria).

Principal peaks in the range 2θ from 10° to 80°, low angle first:
- 2θ = 30.13°, I 100
- 2θ = 34.61°, I 17
- 2θ = 34.97°, I 17
- 2θ = 35.20°, I 17
- 2θ = 59.28°, I 14
- 2θ = 60.05°, I 14

Atomic structure:
a b c (Å): 9.6213 9.6213 8.1882
angles (deg): 105.09 105.09 30.74
Element x y z (fractional)
Tb 0.2249 0.2249 0.1329
Tb 0.7751 0.7751 0.8671
Pr 0.0443 0.0443 0.2299
Pr 0.1369 0.1369 0.6793
Pr 0.3220 0.3220 0.5916
Pr 0.4094 0.4094 0.0570
Pr 0.5906 0.5906 0.9430
Pr 0.6780 0.6780 0.4084
Pr 0.8631 0.8631 0.3207
Pr 0.9557 0.9557 0.7701
In 0.5000 0.5000 0.5000

***

[2]
Pm3AsSe: theoretical powder X-ray diffraction pattern (a wavelength of 1.5418 Å), based on a DFT-relaxed cell (PBE, Alexandria).

Principal peaks in the range 2θ from 10° to 80°, low angle first:
- 2θ = 26.07°, I 57
- 2θ = 35.33°, I 100
- 2θ = 46.00°, I 29
- 2θ = 59.30°, I 22
- 2θ = 68.59°, I 18
- 2θ = 78.16°, I 20

Atomic structure:
a b c (Å): 6.8352 6.8352 3.7973
angles (deg): 90.00 90.00 120.00
Element x y z (fractional)
Pm 0.9999 0.6619 0.0000
Pm 0.3381 0.3381 0.0000
Pm 0.6619 0.0001 0.0000
As 0.3333 0.6667 0.5000
Se 0.0000 0.0000 0.5000

***

[3]
PrEr5Al2: theoretical powder X-ray diffraction pattern (a wavelength of 1.5418 Å), based on a DFT-relaxed cell (PBE, Alexandria).

Principal peaks in the range 2θ from 10° to 80°, low angle first:
- 2θ = 22.59°, I 28
- 2θ = 31.51°, I 100
- 2θ = 33.11°, I 67
- 2θ = 33.73°, I 75
- 2θ = 35.39°, I 29
- 2θ = 49.24°, I 33

Atomic structure:
a b c (Å): 8.2356 8.2356 8.2356
angles (deg): 155.02 103.97 81.50
Element x y z (fractional)
Pr 0.0000 0.0000 0.0000
Er 0.1379 0.3621 0.7757
Er 0.4136 0.6379 0.7757
Er 0.5000 0.0000 0.5000
Er 0.5864 0.3621 0.2243
Er 0.8621 0.6379 0.2243
Al 0.2449 0.7449 0.5000
Al 0.7551 0.2551 0.5000

***

[4]
Sr2Ga3Au17: theoretical powder X-ray diffraction pattern (a wavelength of 1.5418 Å), based on a DFT-relaxed cell (PBE, Alexandria).

Principal peaks in the range 2θ from 10° to 80°, low angle first:
- 2θ = 11.44°, I 42
- 2θ = 33.99°, I 91
- 2θ = 34.79°, I 52
- 2θ = 35.87°, I 37
- 2θ = 37.11°, I 49
- 2θ = 38.87°, I 100

Atomic structure:
a b c (Å): 7.7836 7.7836 7.7836
angles (deg): 85.34 85.34 85.34
Element x y z (fractional)
Sr 0.1678 0.1678 0.1678
Sr 0.8322 0.8322 0.8322
Ga 0.0000 0.0000 0.5000
Ga 0.0000 0.5000 0.0000
Ga 0.5000 0.0000 0.0000
Au 0.0000 0.5000 0.5000
Au 0.1637 0.1637 0.6906
Au 0.1637 0.6906 0.1637
Au 0.2361 0.5000 0.7639
Au 0.2361 0.7639 0.5000
Au 0.3094 0.8363 0.8363
Au 0.3976 0.3976 0.3976
Au 0.5000 0.0000 0.5000
Au 0.5000 0.2361 0.7639
Au 0.5000 0.5000 0.0000
Au 0.5000 0.7639 0.2361
Au 0.6024 0.6024 0.6024
Au 0.6906 0.1637 0.1637
Au 0.7639 0.2361 0.5000
Au 0.7639 0.5000 0.2361
Au 0.8363 0.3095 0.8363
Au 0.8363 0.8363 0.3094

***

[5]
Ba6Ca: theoretical powder X-ray diffraction pattern (a wavelength of 1.5418 Å), based on a DFT-relaxed cell (PBE, Alexandria).

Principal peaks in the range 2θ from 10° to 80°, low angle first:
- 2θ = 25.55°, I 100
- 2θ = 36.44°, I 20
- 2θ = 45.03°, I 42
- 2θ = 59.26°, I 19
- 2θ = 71.55°, I 11
- 2θ = 71.65°, I 10

Atomic structure:
a b c (Å): 10.7355 10.7355 10.7355
angles (deg): 37.94 37.94 37.94
Element x y z (fractional)
Ba 0.0712 0.0712 0.0712
Ba 0.2120 0.2120 0.2120
Ba 0.3590 0.3590 0.3590
Ba 0.6410 0.6410 0.6410
Ba 0.7880 0.7880 0.7880
Ba 0.9288 0.9288 0.9288
Ca 0.5000 0.5000 0.5000

***

[6]
PrY14Cd: theoretical powder X-ray diffraction pattern (a wavelength of 1.5418 Å), based on a DFT-relaxed cell (PBE, Alexandria).

Principal peaks in the range 2θ from 10° to 80°, low angle first:
- 2θ = 28.50°, I 24
- 2θ = 31.64°, I 24
- 2θ = 32.68°, I 100
- 2θ = 43.09°, I 15
- 2θ = 57.01°, I 19
- 2θ = 60.80°, I 21

Atomic structure:
a b c (Å): 11.3131 7.2277 7.2277
angles (deg): 60.13 90.00 90.00
Element x y z (fractional)
Pr 0.0000 0.0000 0.0000
Y 0.0000 0.0023 0.5182
Y 0.0000 0.5182 0.0023
Y 0.2435 0.3442 0.3442
Y 0.2445 0.3437 0.8411
Y 0.2445 0.8411 0.3437
Y 0.2558 0.8423 0.8423
Y 0.5000 0.0116 0.5072
Y 0.5000 0.0126 0.0126
Y 0.5000 0.5072 0.0116
Y 0.5000 0.5109 0.5109
Y 0.7442 0.8423 0.8423
Y 0.7555 0.3437 0.8411
Y 0.7555 0.8411 0.3437
Y 0.7565 0.3442 0.3442
Cd 0.0000 0.5098 0.5098

***

Number 5 is which compound? Ba6Ca